Diffraction record for Ho5Mg2In2. The powder diffractogram is computed, not measured: it uses a structure optimized by DFT (GGA-PBE) and Cu Kα (λ = 1.5418 Å).
Intensities are scaled so that the largest is 1000.

Atomic structure:
```
18
Lattice="8.2571 -4.3214 0.0000 8.2571 4.3214 0.0000 0.0000 0.0000 7.3170" Properties=species:S:1:pos:R:3 pbc="T T T"
Ho 0.0000 0.0000 0.0000
Ho 5.8495 2.6957 4.8627
Ho 5.8495 1.6257 1.2043
Ho 10.6646 2.6957 4.8627
Ho 10.6646 1.6257 1.2043
Ho 8.2571 0.0000 3.6585
Ho 5.8495 -1.6257 6.1127
Ho 5.8495 -2.6957 2.4542
Ho 10.6646 -1.6257 6.1127
Ho 10.6646 -2.6957 2.4542
Mg 8.2571 3.1432 2.8437
Mg 8.2571 1.1783 6.5021
Mg 8.2571 -1.1783 0.8148
Mg 8.2571 -3.1432 4.4733
In 3.4302 0.0000 0.0000
In 4.8268 0.0000 3.6585
In 11.6873 0.0000 3.6585
In 13.0839 0.0000 0.0000
```

Largest 10 diffraction maxima, by angle, 2θ = 10–80°:
Position (°2θ)  Rel. int.
23.9  450
27.0  415
29.9  897
31.1  1000
31.5  508
32.1  634
32.4  451
32.5  369
32.7  486
33.9  594